Structure and computed X-ray diffraction stick pattern of PbW2O6 (a PBE+U-relaxed structure; Cu Kα (weighted mean of Kα1 and Kα2)).

Structural model:
```
9
Lattice="5.4330 0.0000 0.0000 -2.7165 4.7051 0.0000 0.0000 0.0000 5.3667" Properties=species:S:1:pos:R:3 pbc="T T T"
Pb 0.0000 0.0000 0.0000
W 0.0000 3.1367 2.6833
W 2.7165 1.5684 2.6833
O -1.0255 1.7762 3.7655
O -1.6910 2.9288 1.6012
O 2.0510 0.0000 3.7655
O 1.0255 1.7762 1.6012
O 3.3819 0.0000 1.6012
O 1.6910 2.9288 3.7655
```

Main lines, by angle (10 to 90 degrees two-theta):
2θ 16.52, I = 11, hkl 0 0 1; 2θ 25.17, I = 100, hkl 1 0 1; 2θ 32.97, I = 45, hkl 1 1 0; 2θ 33.39, I = 13, hkl 0 0 2; 2θ 41.93, I = 25, hkl 2 0 1; 2θ 47.64, I = 44, hkl 2 -1 2; 2θ 54.35, I = 25, hkl 3 -1 1; 2θ 54.91, I = 11, hkl 1 0 3; 2θ 58.88, I = 13, hkl 3 0 0; 2θ 69.41, I = 11, hkl 3 0 2